The following is a simulated PXRD pattern of Li7Tl. It was derived from the PBE geometry in Alexandria, using a wavelength of 1.5418 Å.
Peak positions follow from Bragg's law for the DFT cell and can differ from measured ones.

Main lines, in order of rising 2θ (2θ from 10° to 90°):
- 2θ = 18.09°, intensity 100
- 2θ = 20.91°, intensity 54
- 2θ = 29.75°, intensity 46
- 2θ = 35.03°, intensity 60
- 2θ = 36.65°, intensity 26
- 2θ = 46.60°, intensity 27
- 2θ = 47.89°, intensity 25
- 2θ = 56.27°, intensity 21

Structure:
```
data_Li7Tl
_chemical_formula_sum 'Li7 Tl1'
_cell_length_a 6.007
_cell_length_b 6.007
_cell_length_c 6.007
_cell_angle_alpha 60.00
_cell_angle_beta 60.00
_cell_angle_gamma 60.00
_symmetry_space_group_name_H-M 'P 1'
_symmetry_Int_Tables_number 1
_symmetry_space_group_name_Hall 'P 1'
loop_
_atom_site_label
_atom_site_type_symbol
_atom_site_fract_x
_atom_site_fract_y
_atom_site_fract_z
Li1 Li 0.000 0.000 0.000
Li2 Li 0.000 0.000 0.500
Li3 Li 0.000 0.500 0.000
Li4 Li 0.000 0.500 0.500
Li5 Li 0.500 0.000 0.000
Li6 Li 0.500 0.000 0.500
Li7 Li 0.500 0.500 0.000
Tl1 Tl 0.500 0.500 0.500
```

The following is a simulated PXRD pattern of Li2Tl. It was derived from the PBE geometry in Alexandria, using a wavelength of 1.5418 Å.
Peak positions follow from Bragg's law for the DFT cell and can differ from measured ones.

Main lines, in order of rising 2θ (2θ from 10° to 90°):
- 2θ = 22.04°, intensity 100
- 2θ = 28.36°, intensity 18
- 2θ = 36.20°, intensity 63
- 2θ = 38.67°, intensity 28
- 2θ = 44.95°, intensity 16
- 2θ = 48.64°, intensity 25
- 2θ = 54.00°, intensity 20
- 2θ = 68.38°, intensity 20

Structure:
```
data_Li2Tl
_chemical_formula_sum 'Li2 Tl1'
_cell_length_a 4.657
_cell_length_b 4.657
_cell_length_c 3.147
_cell_angle_alpha 90.00
_cell_angle_beta 90.00
_cell_angle_gamma 120.00
_symmetry_space_group_name_H-M 'P 1'
_symmetry_Int_Tables_number 1
_symmetry_space_group_name_Hall 'P 1'
loop_
_atom_site_label
_atom_site_type_symbol
_atom_site_fract_x
_atom_site_fract_y
_atom_site_fract_z
Li1 Li 0.333 0.667 0.131
Li2 Li 0.667 0.333 0.869
Tl1 Tl 0.000 0.000 0.500
```

The following is a simulated PXRD pattern of LiTl. It was derived from the PBE geometry in Alexandria, using a wavelength of 1.5418 Å.
Peak positions follow from Bragg's law for the DFT cell and can differ from measured ones.

Main lines, in order of rising 2θ (2θ from 10° to 90°):
- 2θ = 15.43°, intensity 52
- 2θ = 24.40°, intensity 58
- 2θ = 24.63°, intensity 86
- 2θ = 26.46°, intensity 100
- 2θ = 32.62°, intensity 51
- 2θ = 35.18°, intensity 57
- 2θ = 36.26°, intensity 78
- 2θ = 36.75°, intensity 94

Structure:
```
data_LiTl
_chemical_formula_sum 'Li12 Tl12'
_cell_length_a 8.073
_cell_length_b 8.073
_cell_length_c 8.185
_cell_angle_alpha 90.00
_cell_angle_beta 90.00
_cell_angle_gamma 86.20
_symmetry_space_group_name_H-M 'P 1'
_symmetry_Int_Tables_number 1
_symmetry_space_group_name_Hall 'P 1'
loop_
_atom_site_label
_atom_site_type_symbol
_atom_site_fract_x
_atom_site_fract_y
_atom_site_fract_z
Li1 Li 0.102 0.398 0.750
Li2 Li 0.158 0.158 0.000
Li3 Li 0.182 0.818 0.890
Li4 Li 0.318 0.682 0.390
Li5 Li 0.342 0.342 0.500
Li6 Li 0.398 0.102 0.250
Li7 Li 0.602 0.898 0.750
Li8 Li 0.658 0.658 0.500
Li9 Li 0.682 0.318 0.610
Li10 Li 0.818 0.182 0.110
Li11 Li 0.842 0.842 0.000
Li12 Li 0.898 0.602 0.250
Tl1 Tl 0.005 0.290 0.409
Tl2 Tl 0.088 0.912 0.234
Tl3 Tl 0.210 0.495 0.091
Tl4 Tl 0.290 0.005 0.591
Tl5 Tl 0.412 0.588 0.734
Tl6 Tl 0.495 0.210 0.909
Tl7 Tl 0.505 0.790 0.091
Tl8 Tl 0.588 0.412 0.266
Tl9 Tl 0.710 0.995 0.409
Tl10 Tl 0.790 0.505 0.909
Tl11 Tl 0.912 0.088 0.766
Tl12 Tl 0.995 0.710 0.591
```

The following is a simulated PXRD pattern of Li6Tl5. It was derived from the PBE geometry in Alexandria, using a wavelength of 1.5418 Å.
Peak positions follow from Bragg's law for the DFT cell and can differ from measured ones.

Main lines, in order of rising 2θ (2θ from 10° to 90°):
- 2θ = 25.34°, intensity 56
- 2θ = 26.45°, intensity 100
- 2θ = 36.95°, intensity 95
- 2θ = 37.37°, intensity 23
- 2θ = 38.12°, intensity 22
- 2θ = 45.69°, intensity 24
- 2θ = 46.33°, intensity 22
- 2θ = 59.30°, intensity 22

Structure:
```
data_Li6Tl5
_chemical_formula_sum 'Li6 Tl5'
_cell_length_a 8.260
_cell_length_b 8.260
_cell_length_c 4.813
_cell_angle_alpha 106.84
_cell_angle_beta 106.84
_cell_angle_gamma 50.37
_symmetry_space_group_name_H-M 'P 1'
_symmetry_Int_Tables_number 1
_symmetry_space_group_name_Hall 'P 1'
loop_
_atom_site_label
_atom_site_type_symbol
_atom_site_fract_x
_atom_site_fract_y
_atom_site_fract_z
Li1 Li 0.079 0.616 0.347
Li2 Li 0.233 0.767 0.000
Li3 Li 0.384 0.921 0.653
Li4 Li 0.616 0.079 0.347
Li5 Li 0.767 0.233 0.000
Li6 Li 0.921 0.384 0.653
Tl1 Tl 0.172 0.172 0.174
Tl2 Tl 0.331 0.331 0.833
Tl3 Tl 0.500 0.500 0.500
Tl4 Tl 0.669 0.669 0.167
Tl5 Tl 0.828 0.828 0.826
```

What did the third record say?
The following is a simulated PXRD pattern of LiTl. It was derived from the PBE geometry in Alexandria, using a wavelength of 1.5418 Å.
Peak positions follow from Bragg's law for the DFT cell and can differ from measured ones.

Main lines, in order of rising 2θ (2θ from 10° to 90°):
- 2θ = 15.43°, intensity 52
- 2θ = 24.40°, intensity 58
- 2θ = 24.63°, intensity 86
- 2θ = 26.46°, intensity 100
- 2θ = 32.62°, intensity 51
- 2θ = 35.18°, intensity 57
- 2θ = 36.26°, intensity 78
- 2θ = 36.75°, intensity 94

Structure:
```
data_LiTl
_chemical_formula_sum 'Li12 Tl12'
_cell_length_a 8.073
_cell_length_b 8.073
_cell_length_c 8.185
_cell_angle_alpha 90.00
_cell_angle_beta 90.00
_cell_angle_gamma 86.20
_symmetry_space_group_name_H-M 'P 1'
_symmetry_Int_Tables_number 1
_symmetry_space_group_name_Hall 'P 1'
loop_
_atom_site_label
_atom_site_type_symbol
_atom_site_fract_x
_atom_site_fract_y
_atom_site_fract_z
Li1 Li 0.102 0.398 0.750
Li2 Li 0.158 0.158 0.000
Li3 Li 0.182 0.818 0.890
Li4 Li 0.318 0.682 0.390
Li5 Li 0.342 0.342 0.500
Li6 Li 0.398 0.102 0.250
Li7 Li 0.602 0.898 0.750
Li8 Li 0.658 0.658 0.500
Li9 Li 0.682 0.318 0.610
Li10 Li 0.818 0.182 0.110
Li11 Li 0.842 0.842 0.000
Li12 Li 0.898 0.602 0.250
Tl1 Tl 0.005 0.290 0.409
Tl2 Tl 0.088 0.912 0.234
Tl3 Tl 0.210 0.495 0.091
Tl4 Tl 0.290 0.005 0.591
Tl5 Tl 0.412 0.588 0.734
Tl6 Tl 0.495 0.210 0.909
Tl7 Tl 0.505 0.790 0.091
Tl8 Tl 0.588 0.412 0.266
Tl9 Tl 0.710 0.995 0.409
Tl10 Tl 0.790 0.505 0.909
Tl11 Tl 0.912 0.088 0.766
Tl12 Tl 0.995 0.710 0.591
```